# 1
# La2InGaNi4
Calculated powder diffractogram, CuKα. Input: a structure optimized by DFT (GGA-PBE).
Lines closer than 0.1° are merged.

Top 10 peaks for 10 to 80 degrees two-theta, in order of rising 2θ:
two_theta, I/Imax
25.5, 42
30.3, 45
37.2, 92
38.0, 24
41.6, 100
57.0, 26
57.6, 42
63.9, 14
73.0, 24
75.9, 16

Structural model:
```
data_La2InGaNi4
_symmetry_space_group_name_H-M 'P -3 m 1'
_symmetry_Int_Tables_number 164
_symmetry_space_group_name_Hall '-P 3 2"'
_cell_length_a 4.3426
_cell_length_b 4.3426
_cell_length_c 9.4769
_cell_angle_alpha 90.00
_cell_angle_beta 90.00
_cell_angle_gamma 120.00
loop_
_atom_site_label
_atom_site_fract_x
_atom_site_fract_y
_atom_site_fract_z
La1 0.3333 0.6667 0.2450
In1 0.0000 0.0000 0.5000
Ga1 0.0000 0.0000 0.0000
Ni1 0.3333 0.6667 0.5533
Ni2 0.3333 0.6667 0.9536
```

# 2
# AuClF6
Calculated powder diffractogram, CuKα. Input: a structure optimized by DFT (GGA-PBE).
Lines closer than 0.1° are merged.

Top 10 peaks for 10 to 80 degrees two-theta, in order of rising 2θ:
two_theta, I/Imax
12.5, 93
17.8, 83
22.8, 74
24.8, 66
25.5, 64
28.2, 100
28.4, 30
29.4, 95
32.8, 35
34.4, 54

Structural model:
```
data_AuClF6
_symmetry_space_group_name_H-M 'P 1 21/c 1'
_symmetry_Int_Tables_number 14
_cell_length_a 4.2520
_cell_length_b 6.9934
_cell_length_c 14.4092
_cell_angle_alpha 90.00
_cell_angle_beta 99.54
_cell_angle_gamma 90.00
loop_
_symmetry_equiv_pos_as_xyz
'x,y,z'
'-x,-y,-z'
'-x,y+1/2,-z+1/2'
'x,-y+1/2,z+1/2'
loop_
_atom_site_label
_atom_site_fract_x
_atom_site_fract_y
_atom_site_fract_z
Au1 0.1204 0.2339 0.0676
Cl1 0.4473 0.1610 0.3546
F1 0.1130 0.1277 0.4462
F2 0.1164 0.1033 0.1846
F3 0.2684 0.6077 0.4901
F4 0.2865 0.6620 0.2149
F5 0.3553 0.1149 0.8382
F6 0.4861 0.6345 0.8713
```

# 3
# DyHoSb
Calculated powder diffractogram, CuKα. Input: a structure optimized by DFT (GGA-PBE).
Lines closer than 0.1° are merged.

Top 10 peaks for 10 to 80 degrees two-theta, in order of rising 2θ:
two_theta, I/Imax
21.6, 18
24.9, 26
35.6, 100
42.0, 9
43.9, 8
51.2, 18
56.1, 4
57.7, 11
63.9, 36
75.3, 11

Structural model:
```
data_DyHoSb
_symmetry_space_group_name_H-M 'F -4 3 m'
_symmetry_Int_Tables_number 216
_symmetry_space_group_name_Hall 'F -4 2 3'
_cell_length_a 7.1416
_cell_length_b 7.1416
_cell_length_c 7.1416
_cell_angle_alpha 90.00
_cell_angle_beta 90.00
_cell_angle_gamma 90.00
loop_
_atom_site_label
_atom_site_fract_x
_atom_site_fract_y
_atom_site_fract_z
Dy1 0.0000 0.0000 0.0000
Ho1 0.0000 0.0000 0.5000
Sb1 0.2500 0.2500 0.2500
```